For B2MoRu, a crystal structure in Alexandria, relaxed with GGA-PBE gives the simulated powder X-ray diffraction pattern in this record (a wavelength of 1.5418 Å).
No peak broadening, texture or thermal motion is included.

```
B2MoRu
1.0
2.969 0.000 0.000
0.000 4.594 0.000
0.000 0.000 5.988
B Mo Ru
4 2 2
Direct
0.000 0.133 0.000
0.000 0.867 0.500
0.500 0.333 0.943
0.500 0.667 0.443
0.000 0.383 0.649
0.000 0.617 0.149
0.500 0.124 0.288
0.500 0.876 0.788
```

Most intense lines, 2θ from 5° to 70°, by angle:
h k l, 2θ/deg, I_rel
0 1 1, 24.4, 23
0 0 2, 29.8, 44
0 1 2, 35.8, 50
1 1 0, 36.0, 78
1 1 1, 39.1, 100
0 2 1, 42.1, 90
1 0 2, 42.9, 64
1 1 2, 47.4, 38
0 1 3, 49.8, 33
1 2 1, 52.6, 26
2 0 0, 62.6, 21
0 1 4, 65.6, 15